Entry 1:
Computed XRD peak list of Ti3MnTc3 for Cu Kα (λ = 1.5418 Å), from a structure optimized by DFT (PBE).

The 10 most intense peaks (2θ = 15–90°), by intensity:
2theta, intensity, index
42.06, 100, 2 2 2
40.22, 33, 0 4 0
29.77, 19, 2 2 0
74.36, 16, 2 6 2
34.78, 15, 3 1 0
29.03, 15, 0 0 2
44.87, 13, 4 0 0
60.15, 10, 0 0 4
74.86, 10, 0 4 4
61.82, 9, 4 4 0

Structural model:
```
data_Ti3MnTc3
_symmetry_space_group_name_H-M 'C m m m'
_symmetry_Int_Tables_number 65
_symmetry_space_group_name_Hall '-C 2 2'
_cell_length_a 8.080
_cell_length_b 8.968
_cell_length_c 6.153
_cell_angle_alpha 90.00
_cell_angle_beta 90.00
_cell_angle_gamma 90.00
loop_
_atom_site_label
_atom_site_fract_x
_atom_site_fract_y
_atom_site_fract_z
_atom_site_occupancy
Ti1 0.000 0.000 0.249 1
Ti2 0.250 0.250 0.246 1
Mn1 0.187 0.500 0.500 1
Tc1 0.000 0.239 0.000 1
Tc2 0.000 0.245 0.500 1
Tc3 0.197 0.500 0.000 1
```


Entry 2:
Computed XRD peak list of Sr2UTlSe6 for Cu Kα (λ = 1.5418 Å), from a structure optimized by DFT (PBE).

The 10 most intense peaks (2θ = 15–90°), by intensity:
2theta, intensity, index
16.55, 100, 1 1 -1
23.38, 75, 1 1 1
24.17, 75, 1 1 -3
36.04, 58, 1 3 -1
43.54, 57, 3 1 -5
33.46, 56, 2 2 -2
42.09, 52, 3 1 -1
34.29, 49, 0 0 4
37.21, 46, 2 2 0
16.95, 40, 0 0 2

Structural model:
```
data_Sr2UTlSe6
_symmetry_space_group_name_H-M 'P 1 21/c 1'
_symmetry_Int_Tables_number 14
_symmetry_space_group_name_Hall '-P 2ybc'
_cell_length_a 7.246
_cell_length_b 7.962
_cell_length_c 12.464
_cell_angle_alpha 90.00
_cell_angle_beta 122.94
_cell_angle_gamma 90.00
loop_
_atom_site_label
_atom_site_fract_x
_atom_site_fract_y
_atom_site_fract_z
_atom_site_occupancy
Sr1 0.202 0.097 0.242 1
U1 0.500 0.000 0.000 1
Tl1 0.000 0.000 0.500 1
Se1 0.138 0.173 0.942 1
Se2 0.268 0.708 0.927 1
Se3 0.401 0.050 0.760 1
```


Entry 3:
Computed XRD peak list of Tb3Al2Au7 for Cu Kα (λ = 1.5418 Å), from a structure optimized by DFT (PBE).

The 10 most intense peaks (2θ = 15–90°), by intensity:
2theta, intensity, index
35.52, 100, 1 1 6
42.57, 67, 2 0 0
32.43, 53, 1 1 4
30.44, 35, 1 1 2
35.72, 33, 1 0 9
67.71, 26, 1 1 18
73.33, 25, 3 1 6
61.77, 23, 2 2 0
39.50, 21, 1 1 8
56.75, 18, 2 1 9

Structural model:
```
data_Tb3Al2Au7
_symmetry_space_group_name_H-M 'I 4/m m m'
_symmetry_Int_Tables_number 139
_symmetry_space_group_name_Hall '-I 4 2'
_cell_length_a 4.248
_cell_length_b 4.248
_cell_length_c 28.064
_cell_angle_alpha 90.00
_cell_angle_beta 90.00
_cell_angle_gamma 90.00
loop_
_atom_site_label
_atom_site_fract_x
_atom_site_fract_y
_atom_site_fract_z
_atom_site_occupancy
Tb1 0.000 0.000 0.000 1
Tb2 0.000 0.000 0.174 1
Al1 0.000 0.000 0.369 1
Au1 0.000 0.000 0.280 1
Au2 0.000 0.000 0.500 1
Au3 0.000 0.500 0.080 1
```


Entry 4:
Computed XRD peak list of Pm3MgAg4 for Cu Kα (λ = 1.5418 Å), from a structure optimized by DFT (PBE).

The 10 most intense peaks (2θ = 15–90°), by intensity:
2theta, intensity, index
34.73, 100, 1 1 0
62.21, 26, 3 0 0
49.93, 17, 2 0 8
62.37, 8, 1 0 16
83.66, 8, 3 1 8
83.78, 7, 2 1 16
73.21, 5, 2 2 0
73.38, 5, 0 2 16
21.07, 4, 0 0 6
20.14, 4, 1 0 1

Structural model:
```
data_Pm3MgAg4
_symmetry_space_group_name_H-M 'R -3 m'
_symmetry_Int_Tables_number 166
_symmetry_space_group_name_Hall '-R 3 2"'
_cell_length_a 5.1716
_cell_length_b 5.1716
_cell_length_c 25.2590
_cell_angle_alpha 90.00
_cell_angle_beta 90.00
_cell_angle_gamma 120.00
loop_
_atom_site_label
_atom_site_fract_x
_atom_site_fract_y
_atom_site_fract_z
_atom_site_occupancy
Pm1 0.0000 0.0000 0.0000 1
Pm2 0.0000 0.0000 0.2456 1
Mg1 0.0000 0.0000 0.5000 1
Ag1 0.0000 0.0000 0.1242 1
Ag2 0.0000 0.0000 0.3778 1
```


Please write out number 4 again, unchanged.
Computed XRD peak list of Pm3MgAg4 for Cu Kα (λ = 1.5418 Å), from a structure optimized by DFT (PBE).

The 10 most intense peaks (2θ = 15–90°), by intensity:
2theta, intensity, index
34.73, 100, 1 1 0
62.21, 26, 3 0 0
49.93, 17, 2 0 8
62.37, 8, 1 0 16
83.66, 8, 3 1 8
83.78, 7, 2 1 16
73.21, 5, 2 2 0
73.38, 5, 0 2 16
21.07, 4, 0 0 6
20.14, 4, 1 0 1

Structural model:
```
data_Pm3MgAg4
_symmetry_space_group_name_H-M 'R -3 m'
_symmetry_Int_Tables_number 166
_symmetry_space_group_name_Hall '-R 3 2"'
_cell_length_a 5.1716
_cell_length_b 5.1716
_cell_length_c 25.2590
_cell_angle_alpha 90.00
_cell_angle_beta 90.00
_cell_angle_gamma 120.00
loop_
_atom_site_label
_atom_site_fract_x
_atom_site_fract_y
_atom_site_fract_z
_atom_site_occupancy
Pm1 0.0000 0.0000 0.0000 1
Pm2 0.0000 0.0000 0.2456 1
Mg1 0.0000 0.0000 0.5000 1
Ag1 0.0000 0.0000 0.1242 1
Ag2 0.0000 0.0000 0.3778 1
```